Theoretical XRD peak list of CaWO4 for Cu Kα (weighted mean of Kα1 and Kα2), from a cell relaxed with PBE+U.
Intensities are scaled so that the largest is 100.

Peak list (10 most intense, 2θ = 10–80°, most intense first)
two_theta, Rel. int.
31.35, 100
21.16, 64
26.42, 34
22.89, 29
46.63, 23
43.10, 21
13.11, 17
40.87, 15
58.58, 15
33.42, 14

```
CaWO4
1.0
3.884 -6.754 0.000
3.884 6.754 0.000
0.000 0.000 5.362
Ca W O
4 4 16
Cartesian
1.942 2.193 1.341 Ca
1.942 -2.193 4.022 Ca
5.827 2.193 1.341 Ca
5.827 -2.193 4.022 Ca
3.884 5.530 1.564 W
3.884 1.224 4.245 W
3.884 -1.224 1.117 W
3.884 -5.530 3.798 W
3.884 5.510 5.067 O
1.942 1.987 4.022 O
1.165 0.000 2.681 O
3.884 4.068 2.693 O
3.884 2.686 0.012 O
2.719 0.000 0.000 O
1.942 -1.987 1.341 O
3.884 1.244 2.386 O
3.884 -1.244 2.977 O
5.827 1.987 4.022 O
5.049 0.000 0.000 O
3.884 -2.686 5.350 O
3.884 -4.068 2.669 O
6.604 0.000 2.681 O
5.827 -1.987 1.341 O
3.884 -5.510 0.296 O
```

Theoretical XRD peak list of LiCr4Hg2O8 for Cu Kα (weighted mean of Kα1 and Kα2), from a cell relaxed with PBE+U.
Intensities are scaled so that the largest is 100.

Peak list (10 most intense, 2θ = 10–80°, most intense first)
two_theta, Rel. int.
29.13, 100
32.97, 97
33.65, 95
33.83, 89
27.54, 76
34.31, 64
15.99, 53
29.42, 48
32.29, 45
26.74, 42

```
LiCr4Hg2O8
1.0
5.330 -3.036 0.000
5.330 3.036 0.000
-3.744 0.000 5.544
Li Cr Hg O
1 4 2 8
Cartesian
0.000 0.000 0.000 Li
3.100 0.000 2.730 Cr
1.311 0.000 5.498 Cr
3.963 1.520 5.509 Cr
3.963 -1.520 5.509 Cr
-0.557 0.000 2.455 Hg
6.493 0.000 3.041 Hg
4.075 1.397 1.075 O
1.675 0.000 1.169 O
-0.466 0.000 4.559 O
2.250 1.422 4.393 O
4.075 -1.397 1.075 O
6.824 0.000 0.927 O
4.574 0.000 4.253 O
2.250 -1.422 4.393 O
```

Theoretical XRD peak list of ZnNi2O4 for Cu Kα (weighted mean of Kα1 and Kα2), from a cell relaxed with PBE+U.
Intensities are scaled so that the largest is 100.

Peak list (10 most intense, 2θ = 10–80°, most intense first)
two_theta, Rel. int.
35.65, 100
35.73, 31
57.33, 29
63.11, 28
62.86, 28
43.36, 22
30.34, 21
30.23, 19
57.42, 16
37.36, 12

```
ZnNi2O4
1.0
5.893 0.000 0.000
-2.946 5.103 0.000
0.000 0.000 14.510
Zn Ni O
6 12 24
Cartesian
0.000 0.000 0.000 Zn
0.000 0.000 3.536 Zn
0.000 0.000 9.069 Zn
0.000 3.402 8.376 Zn
2.946 1.701 4.211 Zn
2.946 1.701 13.237 Zn
-1.473 2.552 1.773 Ni
0.000 1.712 11.477 Ni
-1.464 4.247 11.477 Ni
1.467 0.847 6.639 Ni
0.000 3.402 4.893 Ni
0.000 3.402 13.891 Ni
0.000 5.103 1.773 Ni
1.473 2.552 1.773 Ni
1.464 4.247 11.477 Ni
2.946 1.701 9.693 Ni
4.426 0.847 6.639 Ni
2.946 3.410 6.639 Ni
0.000 0.000 5.485 O
0.000 0.000 12.522 O
-1.327 2.636 12.632 O
0.000 1.552 7.692 O
-1.602 4.327 7.692 O
0.000 1.875 0.679 O
-1.323 4.166 0.679 O
1.411 0.815 10.372 O
0.000 3.402 2.899 O
0.000 3.402 10.382 O
1.592 0.919 2.832 O
1.327 2.636 12.632 O
0.000 4.935 12.632 O
2.946 0.133 5.595 O
1.588 2.485 5.595 O
1.323 4.166 0.679 O
2.946 1.701 0.698 O
2.946 1.701 7.831 O
1.602 4.327 7.692 O
4.301 0.919 2.832 O
2.946 3.265 2.832 O
4.482 0.815 10.372 O
2.946 3.474 10.372 O
4.305 2.485 5.595 O
```

Theoretical XRD peak list of FeOF for Cu Kα (weighted mean of Kα1 and Kα2), from a cell relaxed with PBE+U.
Intensities are scaled so that the largest is 100.

Peak list (10 most intense, 2θ = 10–80°, most intense first)
two_theta, Rel. int.
26.64, 100
52.28, 58
34.50, 57
66.30, 23
39.55, 19
54.87, 16
59.42, 10
66.56, 9
42.71, 9
61.91, 4

```
FeOF
1.0
9.482 0.000 0.000
0.000 3.111 0.000
-0.002 0.000 14.172
Fe O F
12 12 12
Cartesian
0.000 0.000 0.000 Fe
0.001 0.000 4.729 Fe
0.046 0.000 9.377 Fe
2.395 1.555 2.722 Fe
2.424 1.555 7.377 Fe
2.699 1.555 11.843 Fe
4.707 0.000 9.454 Fe
4.771 0.000 14.142 Fe
4.783 0.000 4.684 Fe
7.150 1.555 12.101 Fe
7.159 1.555 2.716 Fe
7.438 1.555 7.109 Fe
1.500 0.000 3.405 O
1.555 0.000 8.151 O
3.440 0.000 10.969 O
3.865 1.555 13.413 O
3.906 1.555 3.944 O
3.977 1.555 8.576 O
6.270 0.000 12.861 O
6.276 0.000 3.428 O
8.178 0.000 6.241 O
8.623 1.555 8.678 O
8.670 1.555 3.881 O
8.687 1.555 13.354 O
0.998 1.555 10.560 F
1.029 1.555 0.996 F
1.093 1.555 5.775 F
1.558 0.000 12.844 F
3.381 0.000 1.571 F
3.396 0.000 6.277 F
5.732 1.555 5.817 F
5.771 1.555 1.060 F
5.842 1.555 10.436 F
6.312 0.000 8.099 F
8.141 0.000 11.027 F
8.151 0.000 1.538 F
```